Record 1
Starting from a DFT-relaxed cell (GGA-PBE, the Materials Project), the PXRD pattern of EuGeAu was calculated for Cu Ka.
Neutral-atom scattering factors, no anomalous dispersion.

Main lines, by angle (15 to 90 degrees two-theta):
22.16°, intensity 17; 31.96°, intensity 20; 32.86°, intensity 100; 32.97°, intensity 45; 38.04°, intensity 15; 38.80°, intensity 34; 39.08°, intensity 57; 51.81°, intensity 25; 63.16°, intensity 14; 64.41°, intensity 12; 66.50°, intensity 13; 70.43°, intensity 10

a b c (Å): 5.921 5.921 5.921
angles (deg): 133.85 102.27 95.44
Fractional positions:
Eu (0.000, 0.000, 0.000)
Eu (0.571, 0.071, 0.500)
Ge (0.013, 0.702, 0.312)
Ge (0.390, 0.702, 0.688)
Au (0.152, 0.370, 0.782)
Au (0.588, 0.370, 0.218)

=====

Record 2
Starting from a DFT-relaxed cell (GGA-PBE, the Materials Project), the PXRD pattern of CsAlSiO4 was calculated for Cu Ka.
Neutral-atom scattering factors, no anomalous dispersion.

Main lines, by angle (15 to 90 degrees two-theta):
18.63°, intensity 21; 26.60°, intensity 47; 27.06°, intensity 100; 29.74°, intensity 14; 32.57°, intensity 32; 38.23°, intensity 15; 39.48°, intensity 10; 43.99°, intensity 12; 44.72°, intensity 9; 51.43°, intensity 14; 54.90°, intensity 9; 59.88°, intensity 9

a b c (Å): 9.130 9.545 5.491
angles (deg): 90.00 90.00 90.00
Fractional positions:
Cs (0.001, 0.196, 0.000)
Cs (0.499, 0.696, 0.500)
Cs (0.501, 0.304, 0.000)
Cs (0.999, 0.804, 0.500)
Al (0.178, 0.408, 0.505)
Al (0.322, 0.908, 0.005)
Al (0.678, 0.092, 0.505)
Al (0.822, 0.592, 0.005)
Si (0.191, 0.579, 0.005)
Si (0.309, 0.079, 0.505)
Si (0.691, 0.921, 0.005)
Si (0.809, 0.421, 0.505)
O (0.013, 0.594, 0.005)
O (0.235, 0.234, 0.531)
O (0.247, 0.482, 0.234)
O (0.248, 0.504, 0.753)
O (0.252, 0.004, 0.253)
O (0.253, 0.982, 0.734)
O (0.265, 0.734, 0.031)
O (0.487, 0.094, 0.505)
O (0.513, 0.906, 0.005)
O (0.735, 0.266, 0.531)
O (0.747, 0.018, 0.234)
O (0.748, 0.996, 0.753)
O (0.752, 0.496, 0.253)
O (0.753, 0.518, 0.734)
O (0.765, 0.766, 0.031)
O (0.987, 0.406, 0.505)

=====

Record 3
Starting from a DFT-relaxed cell (GGA-PBE, the Materials Project), the PXRD pattern of GaCoN2 was calculated for Cu Ka.
Neutral-atom scattering factors, no anomalous dispersion.

Main lines, by angle (15 to 90 degrees two-theta):
32.57°, intensity 23; 32.71°, intensity 46; 35.70°, intensity 54; 37.28°, intensity 49; 37.40°, intensity 100; 49.17°, intensity 31; 58.21°, intensity 31; 58.47°, intensity 15; 65.23°, intensity 42; 70.19°, intensity 26; 70.43°, intensity 13; 71.42°, intensity 14

a b c (Å): 5.498 6.314 5.029
angles (deg): 90.00 90.00 90.00
Fractional positions:
Ga (0.083, 0.126, 0.000)
Ga (0.417, 0.626, 0.500)
Ga (0.583, 0.374, 0.000)
Ga (0.917, 0.874, 0.500)
Co (0.082, 0.620, 0.993)
Co (0.418, 0.120, 0.493)
Co (0.582, 0.880, 0.993)
Co (0.918, 0.380, 0.493)
N (0.085, 0.622, 0.363)
N (0.090, 0.133, 0.395)
N (0.410, 0.633, 0.895)
N (0.415, 0.122, 0.863)
N (0.585, 0.878, 0.363)
N (0.590, 0.367, 0.395)
N (0.910, 0.867, 0.895)
N (0.915, 0.378, 0.863)